Starting from a DFT-relaxed cell (PBE, Alexandria), the PXRD pattern of Tb2CuPd9 was computed for Cu Kα (λ = 1.5418 Å).
Peak positions follow from Bragg's law for the DFT cell and can differ from measured ones.

Structural model:
Unit cell a=4.0910 b=4.0910 c=12.0137 alpha=90.00 beta=90.00 gamma=90.00
Space group P4/mmm (No. 123)
Inequivalent atoms, fractional coordinates:
Tb  0.0000  0.0000  0.1753 x2
Cu  0.0000  0.0000  0.5000 x1
Pd  0.0000  0.5000  0.0000 x2
Pd  0.0000  0.5000  0.3479 x4
Pd  0.5000  0.5000  0.1732 x2
Pd  0.5000  0.5000  0.5000 x1

The 10 most intense peaks (2θ from 10° to 80°), sorted by position:
hkl 1 1 2, 34.41°, I = 3
hkl 1 1 3, 38.39°, I = 100
hkl 2 0 0, 44.28°, I = 34
hkl 0 0 6, 45.29°, I = 14
hkl 2 0 5, 59.33°, I = 2
hkl 2 2 0, 64.42°, I = 11
hkl 2 0 6, 65.20°, I = 19
hkl 1 1 8, 70.68°, I = 3
hkl 3 1 3, 77.55°, I = 25
hkl 1 1 9, 79.00°, I = 9



Starting from a DFT-relaxed cell (PBE, Alexandria), the PXRD pattern of Mn2In2CuPd3 was computed for Cu Kα (λ = 1.5418 Å).
Peak positions follow from Bragg's law for the DFT cell and can differ from measured ones.

Structural model:
Unit cell a=4.5070 b=4.5070 c=22.1242 alpha=90.00 beta=90.00 gamma=120.00
Space group R3m (No. 160, hexagonal axes)
Inequivalent atoms, fractional coordinates:
Mn  0.0000  0.0000  0.0000 x3
Mn  0.0000  0.0000  0.4977 x3
In  0.0000  0.0000  0.2472 x3
In  0.0000  0.0000  0.7505 x3
Cu  0.0000  0.0000  0.1229 x3
Pd  0.0000  0.0000  0.3735 x3
Pd  0.0000  0.0000  0.6243 x3
Pd  0.0000  0.0000  0.8745 x3

The 10 most intense peaks (2θ from 10° to 80°), sorted by position:
hkl 0 0 3, 12.00°, I = 1
hkl 0 0 6, 24.17°, I = 7
hkl 1 1 0, 39.98°, I = 100
hkl 1 1 6, 47.27°, I = 4
hkl 2 0 8, 57.83°, I = 16
hkl 0 1 14, 63.54°, I = 1
hkl 1 2 2, 63.63°, I = 1
hkl 1 0 16, 72.52°, I = 8
hkl 3 0 0, 72.65°, I = 24
hkl 3 0 6, 77.84°, I = 1



Starting from a DFT-relaxed cell (PBE, Alexandria), the PXRD pattern of Na8B13C3 was computed for Cu Kα (λ = 1.5418 Å).
Peak positions follow from Bragg's law for the DFT cell and can differ from measured ones.

Structural model:
Unit cell a=5.7675 b=17.3622 c=10.3723 alpha=90.00 beta=90.00 gamma=90.00
Space group Fmm2 (No. 42)
Inequivalent atoms, fractional coordinates:
Na  0.0000  0.1234  0.0000 x8
Na  0.0000  0.1237  0.5006 x8
Na  0.2500  0.1244  0.2489 x16
B  0.0000  0.0000  0.3208 x4
B  0.0000  0.0000  0.6634 x4
B  0.0000  0.0000  0.8302 x4
B  0.0000  0.2494  0.3255 x8
B  0.0000  0.2497  0.1606 x8
B  0.2349  0.0000  0.0878 x8
B  0.2435  0.0000  0.4209 x8
B  0.2500  0.2500  0.4321 x8
C  0.0000  0.0000  0.1675 x4
C  0.2500  0.2500  0.0812 x8

The 10 most intense peaks (2θ from 10° to 80°), sorted by position:
hkl 0 0 4, 34.59°, I = 12
hkl 2 0 2, 35.62°, I = 17
hkl 0 4 4, 40.52°, I = 48
hkl 2 4 2, 41.43°, I = 100
hkl 0 8 0, 41.61°, I = 37
hkl 2 8 2, 55.91°, I = 10
hkl 2 0 6, 62.66°, I = 18
hkl 2 12 2, 75.81°, I = 13
hkl 2 8 6, 78.06°, I = 17
hkl 4 4 4, 79.14°, I = 10



Starting from a DFT-relaxed cell (PBE, Alexandria), the PXRD pattern of Sm3SbPb2 was computed for Cu Kα (λ = 1.5418 Å).
Peak positions follow from Bragg's law for the DFT cell and can differ from measured ones.

Structural model:
Unit cell a=14.9392 b=6.3755 c=8.4979 alpha=90.00 beta=106.47 gamma=90.00
Space group C2/c (No. 15)
Inequivalent atoms, fractional coordinates:
Sm  0.0000  0.0005  0.2500 x4
Sm  0.1590  0.5001  0.0793 x8
Sb  0.0000  0.4994  0.7500 x4
Pb  0.1698  0.0001  0.0853 x8

The 10 most intense peaks (2θ from 10° to 80°), sorted by position:
hkl 0 2 0, 27.99°, I = 49
hkl 2 0 2, 28.11°, I = 100
hkl 6 0 0, 37.67°, I = 22
hkl 2 2 2, 40.09°, I = 76
hkl 2 0 -4, 42.55°, I = 16
hkl 6 2 0, 47.58°, I = 23
hkl 2 2 -4, 51.71°, I = 18
hkl 2 4 2, 65.53°, I = 18
hkl 8 2 -4, 65.72°, I = 17
hkl 10 2 -2, 69.63°, I = 14



Starting from a DFT-relaxed cell (PBE, Alexandria), the PXRD pattern of MnCo3Ge6 was computed for Cu Kα (λ = 1.5418 Å).
Peak positions follow from Bragg's law for the DFT cell and can differ from measured ones.

Structural model:
Unit cell a=6.3615 b=5.9578 c=9.0354 alpha=90.00 beta=120.16 gamma=90.00
Space group P2_1/c (No. 14)
Inequivalent atoms, fractional coordinates:
Mn  0.0000  0.0000  0.0000 x2
Co  0.2077  0.1739  0.7352 x4
Co  0.5000  0.0000  0.5000 x2
Ge  0.1102  0.1271  0.4339 x4
Ge  0.2482  0.6781  0.3945 x4
Ge  0.4310  0.5017  0.7214 x4

The 10 most intense peaks (2θ from 10° to 80°), sorted by position:
hkl 2 1 -2, 32.58°, I = 43
hkl 1 2 -1, 33.37°, I = 93
hkl 1 0 2, 34.20°, I = 100
hkl 1 2 -2, 36.44°, I = 56
hkl 1 0 -4, 40.51°, I = 43
hkl 1 1 -4, 43.38°, I = 55
hkl 2 2 0, 44.86°, I = 73
hkl 0 2 3, 46.31°, I = 60
hkl 3 1 -1, 47.41°, I = 80
hkl 1 3 -1, 48.10°, I = 98



Starting from a DFT-relaxed cell (PBE, Alexandria), the PXRD pattern of NaLa6Pb5 was computed for Cu Kα (λ = 1.5418 Å).
Peak positions follow from Bragg's law for the DFT cell and can differ from measured ones.

Structural model:
Unit cell a=5.9423 b=7.2200 c=18.0451 alpha=90.00 beta=90.00 gamma=90.00
Space group Immm (No. 71)
Inequivalent atoms, fractional coordinates:
Na  0.0000  0.0000  0.0000 x2
La  0.0000  0.2204  0.5000 x4
La  0.0000  0.2614  0.1744 x8
Pb  0.0000  0.0000  0.3311 x4
Pb  0.0000  0.5000  0.0000 x2
Pb  0.0000  0.5000  0.3491 x4

The 10 most intense peaks (2θ from 10° to 80°), sorted by position:
hkl 0 0 6, 29.70°, I = 30
hkl 2 0 0, 30.08°, I = 33
hkl 1 2 3, 32.62°, I = 100
hkl 2 0 6, 42.78°, I = 23
hkl 1 2 9, 54.59°, I = 19
hkl 3 2 3, 55.04°, I = 23
hkl 0 4 6, 59.75°, I = 8
hkl 2 4 0, 59.97°, I = 8
hkl 2 4 6, 68.34°, I = 10
hkl 3 2 9, 71.93°, I = 9



Starting from a DFT-relaxed cell (PBE, Alexandria), the PXRD pattern of BaCa3Pb4 was computed for Cu Kα (λ = 1.5418 Å).
Peak positions follow from Bragg's law for the DFT cell and can differ from measured ones.

Structural model:
Unit cell a=11.5137 b=7.6610 c=5.9456 alpha=90.00 beta=90.00 gamma=90.00
Space group Pmma (No. 51)
Inequivalent atoms, fractional coordinates:
Ba  0.0000  0.0000  0.0000 x2
Ca  0.0000  0.5000  0.0000 x2
Ca  0.2500  0.0000  0.4416 x2
Ca  0.2500  0.5000  0.3917 x2
Pb  0.0000  0.2735  0.5000 x4
Pb  0.2500  0.2754  0.8901 x4

The 10 most intense peaks (2θ from 10° to 80°), sorted by position:
hkl 2 0 1, 21.49°, I = 33
hkl 0 2 0, 23.22°, I = 16
hkl 1 2 1, 28.79°, I = 12
hkl 0 0 2, 30.06°, I = 16
hkl 4 0 0, 31.07°, I = 49
hkl 2 2 1, 31.84°, I = 100
hkl 4 2 0, 39.15°, I = 17
hkl 6 2 1, 55.77°, I = 21
hkl 4 4 0, 57.82°, I = 13
hkl 8 0 0, 64.78°, I = 14



Starting from a DFT-relaxed cell (PBE, Alexandria), the PXRD pattern of Dy12CdAu6 was computed for Cu Kα (λ = 1.5418 Å).
Peak positions follow from Bragg's law for the DFT cell and can differ from measured ones.

Structural model:
Unit cell a=13.2315 b=13.2315 c=11.5356 alpha=90.00 beta=90.00 gamma=120.00
Space group R-3 (No. 148, hexagonal axes)
Inequivalent atoms, fractional coordinates:
Dy  0.0344  0.2144  0.3913 x18
Dy  0.0408  0.2228  0.8942 x18
Cd  0.0000  0.0000  0.0000 x3
Au  0.0457  0.2582  0.6482 x18

The 10 most intense peaks (2θ from 10° to 80°), sorted by position:
hkl 1 1 0, 13.38°, I = 15
hkl 2 1 1, 21.92°, I = 63
hkl 0 0 3, 23.13°, I = 19
hkl 1 0 4, 32.00°, I = 18
hkl 3 1 2, 32.16°, I = 20
hkl 1 4 0, 35.91°, I = 100
hkl 2 1 4, 37.47°, I = 75
hkl 5 -1 3, 43.16°, I = 19
hkl 6 -4 4, 52.86°, I = 27
hkl 3 5 4, 65.59°, I = 26



Starting from a DFT-relaxed cell (PBE, Alexandria), the PXRD pattern of CrNi4 was computed for Cu Kα (λ = 1.5418 Å).
Peak positions follow from Bragg's law for the DFT cell and can differ from measured ones.

Structural model:
Unit cell a=2.4698 b=3.5659 c=12.3744 alpha=90.00 beta=90.00 gamma=90.00
Space group Immm (No. 71)
Inequivalent atoms, fractional coordinates:
Cr  0.0000  0.0000  0.0000 x2
Ni  0.0000  0.0000  0.1988 x4
Ni  0.0000  0.0000  0.4012 x4

The 6 most intense peaks (2θ from 10° to 80°), sorted by position:
hkl 1 1 0, 44.60°, I = 100
hkl 0 2 0, 51.24°, I = 16
hkl 1 0 5, 52.33°, I = 30
hkl 1 2 5, 76.28°, I = 18
hkl 0 0 10, 77.07°, I = 4
hkl 2 0 0, 77.26°, I = 4



Starting from a DFT-relaxed cell (PBE, Alexandria), the PXRD pattern of Ac8Ge5Se was computed for Cu Kα (λ = 1.5418 Å).
Peak positions follow from Bragg's law for the DFT cell and can differ from measured ones.

Structural model:
Unit cell a=9.7335 b=9.7335 c=9.7293 alpha=90.00 beta=90.00 gamma=90.00
Space group I-4 (No. 82)
Inequivalent atoms, fractional coordinates:
Ac  0.0655  0.3131  0.0640 x8
Ac  0.0694  0.1829  0.6904 x8
Ge  0.0000  0.0000  0.0000 x2
Ge  0.1270  0.2474  0.3758 x8
Se  0.0000  0.5000  0.7500 x2

The 10 most intense peaks (2θ from 10° to 80°), sorted by position:
hkl 2 1 1, 22.38°, I = 23
hkl 2 0 2, 25.89°, I = 25
hkl 3 1 0, 29.01°, I = 100
hkl 2 3 1, 34.48°, I = 62
hkl 2 2 4, 45.67°, I = 22
hkl 4 3 1, 47.65°, I = 45
hkl 1 6 1, 58.46°, I = 23
hkl 6 0 2, 60.13°, I = 13
hkl 1 5 4, 61.78°, I = 17
hkl 1 2 7, 71.20°, I = 15



Starting from a DFT-relaxed cell (PBE, Alexandria), the PXRD pattern of Ac2NpScO8 was computed for Cu Kα (λ = 1.5418 Å).
Peak positions follow from Bragg's law for the DFT cell and can differ from measured ones.

Structural model:
Unit cell a=4.2923 b=5.6591 c=7.7648 alpha=85.45 beta=88.83 gamma=82.30
Space group P-1 (No. 2)
Inequivalent atoms, fractional coordinates:
Ac  0.0171  0.0273  0.2434 x2
Np  0.5000  0.5000  0.5000 x1
Sc  0.5000  0.5000  0.0000 x1
O  0.0931  0.7062  0.5080 x2
O  0.1116  0.7394  0.0237 x2
O  0.4274  0.2482  0.6840 x2
O  0.4523  0.3107  0.2567 x2

The 10 most intense peaks (2θ from 10° to 80°), sorted by position:
hkl 0 0 1, 11.43°, I = 35
hkl 1 1 0, 24.56°, I = 100
hkl 0 1 2, 26.99°, I = 80
hkl 1 -1 0, 27.99°, I = 69
hkl 0 1 -2, 29.06°, I = 61
hkl 1 0 2, 31.09°, I = 42
hkl 1 0 -2, 31.40°, I = 35
hkl 0 2 0, 32.01°, I = 32
hkl 1 2 2, 41.60°, I = 29
hkl 2 0 0, 42.51°, I = 27



Starting from a DFT-relaxed cell (PBE, Alexandria), the PXRD pattern of Gd3MnB7 was computed for Cu Kα (λ = 1.5418 Å).
Peak positions follow from Bragg's law for the DFT cell and can differ from measured ones.

Structural model:
Unit cell a=3.4434 b=15.9517 c=9.3736 alpha=90.00 beta=90.00 gamma=90.00
Space group Cmcm (No. 63)
Inequivalent atoms, fractional coordinates:
Gd  0.0000  0.1040  0.0619 x8
Gd  0.0000  0.2412  0.7500 x4
Mn  0.0000  0.0544  0.7500 x4
B  0.0000  0.2729  0.0305 x8
B  0.0000  0.3698  0.1531 x8
B  0.0000  0.4630  0.7500 x4
B  0.0000  0.4771  0.0984 x8

The 10 most intense peaks (2θ from 10° to 80°), sorted by position:
hkl 1 1 0, 26.48°, I = 77
hkl 0 4 2, 29.41°, I = 93
hkl 0 2 3, 30.73°, I = 73
hkl 1 3 1, 32.42°, I = 61
hkl 0 6 0, 33.71°, I = 44
hkl 1 5 0, 38.46°, I = 43
hkl 1 1 3, 39.35°, I = 100
hkl 1 5 1, 39.70°, I = 39
hkl 1 5 2, 43.21°, I = 42
hkl 1 7 3, 56.69°, I = 38



Q: Number 1 is which compound?
A: Tb2CuPd9